Structure and simulated XRD peak list of Li4HgPd4 (the GGA-PBE geometry in Alexandria; Cu Kα (λ = 1.5418 Å)).
Lines closer than 0.1° are merged.

Crystal structure
a b c (Å): 8.3026 8.3026 3.9493
angles (deg): 90.00 90.00 90.00
Space group I4/mmm (No. 139)
Symmetry-distinct sites (fractional):
Li: 0.1763 0.1763 0.0000 [8 per cell]
Hg: 0.0000 0.0000 0.5000 [2 per cell]
Pd: 0.0000 0.3317 0.5000 [8 per cell]

Principal peaks in the range 2θ from 10° to 90°, in order of rising 2θ:
2θ (°), Rel. int., hkl
21.40, 48.7, 2 0 0
24.97, 71.8, 1 0 1
34.15, 32.4, 3 1 0
39.77, 100.0, 3 0 1
45.60, 27.4, 3 2 1
45.96, 16.5, 0 0 2
46.40, 32.1, 3 3 0
60.48, 18.9, 4 3 1
67.37, 20.8, 3 3 2
81.50, 24.5, 6 3 1